Starting from a crystal structure in Alexandria, relaxed with GGA-PBE, the PXRD pattern of Mn3AlAg was computed for λ = 1.5418 Å (Cu Kα).
Intensities are scaled so that the largest is 100.

Top 8 peaks for 2θ = 10–90°, in order of falling intensity:
index  Position (°2θ)  Rel. int.
1 1 1  33.99  100.0
2 0 0  39.45  71.9
2 2 0  57.02  45.4
3 1 1  68.07  34.2
1 1 0  27.61  27.9
2 2 2  71.55  14.6
2 1 1  48.83  11.4
4 0 0  84.91  6.8

Atomic structure:
```
data_Mn3AlAg
_chemical_formula_sum 'Mn3 Al1 Ag1'
_space_group_name_H-M_alt 'P m -3 m'
_space_group_IT_number 221
_space_group_name_Hall '-P 4 2 3'
_cell_length_a 4.5684
_cell_length_b 4.5684
_cell_length_c 4.5684
_cell_angle_alpha 90.00
_cell_angle_beta 90.00
_cell_angle_gamma 90.00
loop_
_atom_site_label
_atom_site_fract_x
_atom_site_fract_y
_atom_site_fract_z
Mn1 0.0000 0.0000 0.5000
Al1 0.0000 0.0000 0.0000
Ag1 0.5000 0.5000 0.5000
```

***

Starting from a crystal structure in Alexandria, relaxed with GGA-PBE, the PXRD pattern of AlAg2Mo was computed for λ = 1.5418 Å (Cu Kα).
Intensities are scaled so that the largest is 100.

Top 8 peaks for 2θ = 10–90°, in order of falling intensity:
index  Position (°2θ)  Rel. int.
1 1 -1  39.40  100.0
1 1 1  45.34  65.9
0 0 2  36.38  62.9
2 0 0  38.76  52.4
2 0 -2  43.57  37.2
0 0 1  17.96  28.9
1 1 -3  63.08  23.5
3 1 -1  66.29  21.5

Atomic structure:
```
data_AlAg2Mo
_chemical_formula_sum 'Al1 Ag2 Mo1'
_space_group_name_H-M_alt 'P 1 2/m 1'
_space_group_IT_number 10
_cell_length_a 4.9351
_cell_length_b 2.7389
_cell_length_c 5.2465
_cell_angle_alpha 90.00
_cell_angle_beta 109.70
_cell_angle_gamma 90.00
loop_
_space_group_symop_operation_xyz
'x,y,z'
'-x,-y,-z'
'-x,y,-z'
'x,-y,z'
loop_
_atom_site_label
_atom_site_fract_x
_atom_site_fract_y
_atom_site_fract_z
Al1 0.0000 0.0000 0.0000
Ag1 0.0000 0.5000 0.5000
Ag2 0.5000 0.0000 0.5000
Mo1 0.5000 0.5000 0.0000
```

***

Starting from a crystal structure in Alexandria, relaxed with GGA-PBE, the PXRD pattern of AlAgMo2 was computed for λ = 1.5418 Å (Cu Kα).
Intensities are scaled so that the largest is 100.

Top 8 peaks for 2θ = 10–90°, in order of falling intensity:
index  Position (°2θ)  Rel. int.
1 1 1  39.21  100.0
3 1 -1  46.83  58.2
4 0 0  38.91  51.2
2 0 -2  38.72  49.5
2 0 2  42.28  38.9
5 1 1  65.05  21.2
2 0 0  19.17  20.1
6 0 2  75.23  19.7

Atomic structure:
```
data_AlAgMo2
_chemical_formula_sum 'Al2 Ag2 Mo4'
_space_group_name_H-M_alt 'C 1 m 1'
_space_group_IT_number 8
_cell_length_a 9.3047
_cell_length_b 2.7249
_cell_length_c 5.1019
_cell_angle_alpha 90.00
_cell_angle_beta 95.73
_cell_angle_gamma 90.00
loop_
_space_group_symop_operation_xyz
'x,y,z'
'x,-y,z'
'x+1/2,y+1/2,z'
'x+1/2,-y+1/2,z'
loop_
_atom_site_label
_atom_site_fract_x
_atom_site_fract_y
_atom_site_fract_z
Al1 0.0000 0.0000 0.0000
Ag1 0.2482 0.5000 0.2203
Mo1 0.2551 0.0000 0.7252
Mo2 0.4970 0.0000 0.5089
```

***

Starting from a crystal structure in Alexandria, relaxed with GGA-PBE, the PXRD pattern of NaAlAg3 was computed for λ = 1.5418 Å (Cu Kα).
Intensities are scaled so that the largest is 100.

Top 8 peaks for 2θ = 10–90°, in order of falling intensity:
index  Position (°2θ)  Rel. int.
0 0 1  15.06  100.0
2 -2 0  36.97  61.9
2 1 -2  39.51  47.5
0 2 0  31.56  38.6
0 2 1  39.89  35.0
1 -1 0  18.24  34.5
2 -1 0  33.29  34.3
-2 1 2  35.06  29.9

Atomic structure:
```
data_NaAlAg3
_chemical_formula_sum 'Na2 Al2 Ag6'
_space_group_name_H-M_alt 'P 1'
_space_group_IT_number 1
_cell_length_a 5.9530
_cell_length_b 6.3728
_cell_length_c 6.9588
_cell_angle_alpha 99.98
_cell_angle_beta 115.29
_cell_angle_gamma 107.94
loop_
_space_group_symop_operation_xyz
'x,y,z'
loop_
_atom_site_label
_atom_site_fract_x
_atom_site_fract_y
_atom_site_fract_z
Na1 0.0000 0.0000 0.0000
Na2 0.4127 0.6177 0.1091
Al1 0.0782 0.7095 0.3570
Al2 0.7389 0.2418 0.2457
Ag1 0.3467 0.4887 0.5726
Ag2 0.4095 0.9500 0.8255
Ag3 0.4966 0.1019 0.4796
Ag4 0.7633 0.4311 0.9389
Ag5 0.8669 0.5804 0.6105
Ag6 0.9743 0.0451 0.5264
```

***

Starting from a crystal structure in Alexandria, relaxed with GGA-PBE, the PXRD pattern of Na2Al5Ag4 was computed for λ = 1.5418 Å (Cu Kα).
Intensities are scaled so that the largest is 100.

Top 8 peaks for 2θ = 10–90°, in order of falling intensity:
index  Position (°2θ)  Rel. int.
1 3 2  40.83  100.0
0 0 2  19.73  74.9
2 0 2  38.50  72.3
1 3 0  35.38  62.7
1 1 0  19.23  49.2
0 0 4  40.09  34.5
0 2 0  20.68  31.2
2 0 0  32.72  30.9

Atomic structure:
```
data_Na2Al5Ag4
_chemical_formula_sum 'Na4 Al10 Ag8'
_space_group_name_H-M_alt 'I m m m'
_space_group_IT_number 71
_space_group_name_Hall '-I 2 2'
_cell_length_a 5.4741
_cell_length_b 8.5900
_cell_length_c 8.9977
_cell_angle_alpha 90.00
_cell_angle_beta 90.00
_cell_angle_gamma 90.00
loop_
_atom_site_label
_atom_site_fract_x
_atom_site_fract_y
_atom_site_fract_z
Na1 0.0000 0.0000 0.1977
Al1 0.0000 0.5000 0.5000
Al2 0.2468 0.1758 0.5000
Ag1 0.0000 0.3290 0.2582
```

***

Starting from a crystal structure in Alexandria, relaxed with GGA-PBE, the PXRD pattern of NaAl3Ag was computed for λ = 1.5418 Å (Cu Kα).
Intensities are scaled so that the largest is 100.

Top 8 peaks for 2θ = 10–90°, in order of falling intensity:
index  Position (°2θ)  Rel. int.
1 1 0  17.09  100.0
0 2 0  13.35  53.9
1 3 2  42.51  36.8
1 1 2  37.70  35.4
2 2 0  34.59  29.2
1 5 0  37.48  27.6
0 2 2  36.06  26.7
1 3 0  25.61  21.2

Atomic structure:
```
data_NaAl3Ag
_chemical_formula_sum 'Na4 Al12 Ag4'
_space_group_name_H-M_alt 'C m c m'
_space_group_IT_number 63
_space_group_name_Hall '-C 2c 2'
_cell_length_a 5.6359
_cell_length_b 13.2608
_cell_length_c 5.3747
_cell_angle_alpha 90.00
_cell_angle_beta 90.00
_cell_angle_gamma 90.00
loop_
_atom_site_label
_atom_site_fract_x
_atom_site_fract_y
_atom_site_fract_z
Na1 0.0000 0.0755 0.2500
Al1 0.0000 0.3275 0.7500
Al2 0.2413 0.3364 0.2500
Ag1 0.0000 0.5000 0.0000
```

***

Starting from a crystal structure in Alexandria, relaxed with GGA-PBE, the PXRD pattern of NaAl5Ag2 was computed for λ = 1.5418 Å (Cu Kα).
Intensities are scaled so that the largest is 100.

Top 8 peaks for 2θ = 10–90°, in order of falling intensity:
index  Position (°2θ)  Rel. int.
1 1 2  30.72  100.0
0 0 2  17.85  80.8
1 1 0  24.79  66.0
1 1 4  44.33  53.0
1 3 0  41.51  52.3
0 2 4  43.28  48.0
0 2 0  23.00  47.3
1 3 2  45.51  43.3

Atomic structure:
```
data_NaAl5Ag2
_chemical_formula_sum 'Na2 Al10 Ag4'
_space_group_name_H-M_alt 'I m m m'
_space_group_IT_number 71
_space_group_name_Hall '-I 2 2'
_cell_length_a 4.0546
_cell_length_b 7.7343
_cell_length_c 9.9386
_cell_angle_alpha 90.00
_cell_angle_beta 90.00
_cell_angle_gamma 90.00
loop_
_atom_site_label
_atom_site_fract_x
_atom_site_fract_y
_atom_site_fract_z
Na1 0.0000 0.0000 0.0000
Al1 0.0000 0.1853 0.3572
Al2 0.0000 0.5000 0.0000
Ag1 0.0000 0.5000 0.2605
```

***

Starting from a crystal structure in Alexandria, relaxed with GGA-PBE, the PXRD pattern of NaAl7Ag12 was computed for λ = 1.5418 Å (Cu Kα).
Intensities are scaled so that the largest is 100.

Top 8 peaks for 2θ = 10–90°, in order of falling intensity:
index  Position (°2θ)  Rel. int.
3 2 1  35.08  100.0
4 0 2  42.22  95.3
3 1 0  29.51  89.1
2 1 1  22.76  61.0
5 3 0  56.02  56.9
4 2 2  46.48  39.0
1 1 0  13.08  39.0
4 0 0  37.59  29.1

Atomic structure:
```
data_NaAl7Ag12
_chemical_formula_sum 'Na2 Al14 Ag24'
_space_group_name_H-M_alt 'I m -3'
_space_group_IT_number 204
_space_group_name_Hall '-I 2 2 3'
_cell_length_a 9.5720
_cell_length_b 9.5720
_cell_length_c 9.5720
_cell_angle_alpha 90.00
_cell_angle_beta 90.00
_cell_angle_gamma 90.00
loop_
_atom_site_label
_atom_site_fract_x
_atom_site_fract_y
_atom_site_fract_z
Na1 0.0000 0.0000 0.0000
Al1 0.0000 0.0000 0.5000
Al2 0.2500 0.2500 0.2500
Ag1 0.0000 0.1530 0.2712
```